Starting from a crystal structure in Alexandria, relaxed with GGA+U, the powder diffractogram of Ba4CaV4Cu2F28 was calculated for Cu Kα (weighted mean of Kα1 and Kα2).
Neutral-atom scattering factors, no anomalous dispersion.

Structural model:
Cell lengths 7.6044, 7.6044, 15.1915 Å; angles 91.60, 91.60, 42.08 degrees
Positions (direct):
Ba 0.0272 0.3429 0.8764
Ba 0.1779 0.1779 0.3760
Ba 0.6571 0.9728 0.1236
Ba 0.8221 0.8221 0.6240
Ca 0.3437 0.6563 0.0000
V 0.0234 0.2233 0.1238
V 0.0942 0.1590 0.6284
V 0.7767 0.9766 0.8762
V 0.8410 0.9058 0.3716
Cu 0.4254 0.5631 0.7489
Cu 0.4369 0.5746 0.2511
F 0.0103 0.0011 0.9035
F 0.0284 0.6727 0.7963
F 0.0657 0.7747 0.2701
F 0.0667 0.4418 0.1428
F 0.1008 0.6250 0.4443
F 0.2253 0.9343 0.7299
F 0.2839 0.0350 0.0250
F 0.2954 0.1988 0.6722
F 0.3056 0.5664 0.6408
F 0.3273 0.9716 0.2037
F 0.3750 0.8992 0.5557
F 0.4336 0.6944 0.3592
F 0.4396 0.4626 0.1370
F 0.5155 0.2530 0.9638
F 0.5374 0.5604 0.8630
F 0.5436 0.1723 0.2949
F 0.5582 0.9333 0.8572
F 0.5974 0.0381 0.4622
F 0.6360 0.1934 0.7664
F 0.7470 0.4845 0.0362
F 0.8012 0.7046 0.3278
F 0.8066 0.3640 0.2336
F 0.8277 0.4564 0.7051
F 0.8688 0.1156 0.4026
F 0.8844 0.1312 0.5974
F 0.9619 0.4026 0.5378
F 0.9650 0.7161 0.9750
F 0.9989 0.9897 0.0965

Principal peaks in the range 2θ = 15–90°, in order of rising 2θ:
| 2θ (°) | intensity |
| --- | --- |
| 21.1 | 26 |
| 23.4 | 31 |
| 24.9 | 100 |
| 26.3 | 18 |
| 27.3 | 21 |
| 28.1 | 17 |
| 29.2 | 36 |
| 29.5 | 20 |
| 38.1 | 27 |
| 39.8 | 21 |
| 42.5 | 16 |
| 55.3 | 16 |